Structure and theoretical powder X-ray diffraction pattern of Ce2ErThS4 (a PBE-relaxed structure; Cu Kα (weighted mean of Kα1 and Kα2)).
No peak broadening, texture or thermal motion is included.

Largest 8 diffraction maxima, sorted by position, 2θ = 10–80°:
hkl, Position (°2θ), I/Imax
0 0 2, 27.2, 22
2 0 0, 27.4, 63
1 1 1, 31.7, 100
2 0 2, 45.3, 37
0 2 0, 45.6, 36
3 1 1, 53.9, 21
2 2 -2, 56.6, 13
0 2 4, 75.1, 16

Cell and atoms:
a b c (Å): 6.8796 3.9817 6.9488
angles (deg): 90.00 109.30 90.00
Space group P2/m (No. 10)
Asymmetric unit:
1 Ce 0.0000 0.0000 0.0000
2 Ce 0.0000 0.5000 0.5000
3 Er 0.5000 0.0000 0.5000
4 Th 0.5000 0.5000 0.0000
5 S 0.2536 0.0000 0.7418
6 S 0.2599 0.5000 0.2621